(1)
For PmNd2Er6, a structure optimized by DFT (GGA-PBE) gives the calculated XRD peak list in this record (Cu Kα (weighted mean of Kα1 and Kα2)).
No peak broadening, texture or thermal motion is included.

Peak list (8 most intense, 2θ = 10–90°, in order of rising 2θ)
d [Å]  two_theta  I (rel.)
2.825  31.67  100.0
2.188  41.25  8.0
1.998  45.40  17.1
1.631  56.40  15.6
1.630  56.46  13.0
1.476  62.97  14.2
1.412  66.18  6.5
1.188  80.96  5.0

Structure:
Lattice parameters (Å, degrees): 9.781 9.781 3.462 90.11 90.11 60.04
Fractional coordinates of all 9 atoms:
Pm: 0.000 0.000 0.000
Nd: 0.333 0.333 0.000
Nd: 0.667 0.667 0.000
Er: 0.000 0.333 0.500
Er: 0.000 0.667 0.500
Er: 0.333 0.000 0.500
Er: 0.333 0.667 0.500
Er: 0.667 0.000 0.500
Er: 0.667 0.333 0.500

=====

(2)
For PmNd8Er6, a structure optimized by DFT (GGA-PBE) gives the calculated XRD peak list in this record (Cu Kα (weighted mean of Kα1 and Kα2)).
No peak broadening, texture or thermal motion is included.

Peak list (8 most intense, 2θ = 10–90°, in order of rising 2θ)
d [Å]  two_theta  I (rel.)
3.247  27.47  21.4
2.968  30.11  22.1
2.849  31.40  100.0
2.191  41.21  20.7
1.875  48.56  19.0
1.690  54.29  18.5
1.585  58.20  15.8
1.566  58.97  14.2

Structure:
Lattice parameters (Å, degrees): 9.921 9.921 5.935 90.00 90.00 120.00
Fractional coordinates of all 15 atoms:
Pm: 0.000 0.000 0.000
Nd: 0.052 0.276 0.275
Nd: 0.224 0.948 0.275
Nd: 0.276 0.224 0.725
Nd: 0.333 0.667 0.277
Nd: 0.667 0.333 0.723
Nd: 0.724 0.776 0.275
Nd: 0.776 0.052 0.725
Nd: 0.948 0.724 0.725
Er: 0.093 0.473 0.760
Er: 0.379 0.907 0.760
Er: 0.473 0.379 0.240
Er: 0.527 0.621 0.760
Er: 0.621 0.093 0.240
Er: 0.907 0.527 0.240

=====

(3)
For Pm5Nd5Er, a structure optimized by DFT (GGA-PBE) gives the calculated XRD peak list in this record (Cu Kα (weighted mean of Kα1 and Kα2)).
No peak broadening, texture or thermal motion is included.

Peak list (8 most intense, 2θ = 10–90°, in order of rising 2θ)
d [Å]  two_theta  I (rel.)
3.152  28.32  100.0
3.114  28.67  89.3
3.008  29.70  33.6
2.627  34.13  29.0
2.563  35.01  28.1
2.447  36.72  23.5
1.805  50.57  38.4
1.557  59.36  27.6

Structure:
Lattice parameters (Å, degrees): 6.228 6.228 11.651 90.00 90.00 120.00
Fractional coordinates of all 11 atoms:
Pm: 0.000 0.000 0.000
Pm: 0.333 0.667 0.316
Pm: 0.333 0.667 0.684
Pm: 0.667 0.333 0.157
Pm: 0.667 0.333 0.843
Nd: 0.000 0.000 0.263
Nd: 0.000 0.000 0.737
Nd: 0.339 0.170 0.500
Nd: 0.830 0.170 0.500
Nd: 0.830 0.661 0.500
Er: 0.333 0.667 0.000

=====

(4)
For Pm4Nd5Er, a structure optimized by DFT (GGA-PBE) gives the calculated XRD peak list in this record (Cu Kα (weighted mean of Kα1 and Kα2)).
No peak broadening, texture or thermal motion is included.

Peak list (8 most intense, 2θ = 10–90°, in order of rising 2θ)
d [Å]  two_theta  I (rel.)
2.984  29.94  100.0
2.591  34.62  34.3
2.571  34.90  16.4
1.832  49.76  12.3
1.825  49.98  23.8
1.561  59.17  29.1
1.552  59.55  13.8
1.492  62.22  12.3

Structure:
Lattice parameters (Å, degrees): 3.665 3.665 25.706 90.00 90.00 90.00
Fractional coordinates of all 10 atoms:
Pm: 0.000 0.000 0.101
Pm: 0.000 0.000 0.303
Pm: 0.000 0.000 0.697
Pm: 0.000 0.000 0.899
Nd: 0.500 0.500 0.000
Nd: 0.500 0.500 0.202
Nd: 0.500 0.500 0.403
Nd: 0.500 0.500 0.597
Nd: 0.500 0.500 0.798
Er: 0.000 0.000 0.500

=====

(5)
For PmNd7Er3, a structure optimized by DFT (GGA-PBE) gives the calculated XRD peak list in this record (Cu Kα (weighted mean of Kα1 and Kα2)).
No peak broadening, texture or thermal motion is included.

Peak list (8 most intense, 2θ = 10–90°, in order of rising 2θ)
d [Å]  two_theta  I (rel.)
3.116  28.65  30.5
3.051  29.27  29.2
2.886  30.99  51.8
2.826  31.66  100.0
2.687  33.35  86.1
1.812  50.35  39.2
1.686  54.44  21.6
1.535  60.31  45.4

Structure:
Lattice parameters (Å, degrees): 10.282 10.282 12.561 114.10 114.10 41.26
Fractional coordinates of all 22 atoms:
Pm: 0.000 0.000 0.000
Pm: 0.000 0.000 0.500
Nd: 0.080 0.585 0.470
Nd: 0.081 0.584 0.972
Nd: 0.234 0.766 0.750
Nd: 0.332 0.346 0.225
Nd: 0.346 0.332 0.725
Nd: 0.415 0.920 0.030
Nd: 0.416 0.919 0.528
Nd: 0.584 0.081 0.472
Nd: 0.585 0.080 0.970
Nd: 0.654 0.668 0.275
Nd: 0.668 0.654 0.775
Nd: 0.766 0.234 0.250
Nd: 0.919 0.416 0.028
Nd: 0.920 0.415 0.530
Er: 0.165 0.173 0.276
Er: 0.173 0.165 0.776
Er: 0.500 0.500 0.000
Er: 0.500 0.500 0.500
Er: 0.827 0.835 0.224
Er: 0.835 0.827 0.724

=====

(6)
For Pm5NdEr, a structure optimized by DFT (GGA-PBE) gives the calculated XRD peak list in this record (Cu Kα (weighted mean of Kα1 and Kα2)).
No peak broadening, texture or thermal motion is included.

Peak list (8 most intense, 2θ = 10–90°, in order of rising 2θ)
d [Å]  two_theta  I (rel.)
2.976  30.03  30.2
2.876  31.10  25.3
2.857  31.31  49.6
2.835  31.55  100.0
2.810  31.84  74.0
2.613  34.31  32.6
1.928  47.13  22.0
1.650  55.69  22.9

Structure:
Lattice parameters (Å, degrees): 7.013 10.456 7.102 90.00 108.12 90.00
Fractional coordinates of all 14 atoms:
Pm: 0.000 0.000 0.000
Pm: 0.191 0.284 0.733
Pm: 0.191 0.716 0.733
Pm: 0.309 0.216 0.267
Pm: 0.309 0.784 0.267
Pm: 0.500 0.500 0.000
Pm: 0.691 0.216 0.733
Pm: 0.691 0.784 0.733
Pm: 0.809 0.284 0.267
Pm: 0.809 0.716 0.267
Nd: 0.000 0.000 0.500
Nd: 0.500 0.500 0.500
Er: 0.000 0.500 0.000
Er: 0.500 0.000 0.000